Structure and theoretical powder diffraction line list of Rh5Se (a PBE-relaxed structure; λ = 1.5418 Å (Cu Kα)).

The 8 most intense peaks (10 to 90 degrees two-theta), sorted by position:
d/Å, I_rel
2.429, 18
2.347, 15
2.205, 35
2.127, 100
2.072, 36
1.370, 14
1.258, 18
1.164, 17

Atomic structure:
Lattice parameters (Å, degrees): 4.4105 2.8382 14.0792 90.00 90.00 90.00
Space group Amm2 (No. 38)
Inequivalent atoms, fractional coordinates:
1 Rh 0.0000 0.0000 0.0000 [2 per cell]
2 Rh 0.0000 0.0000 0.3295 [2 per cell]
3 Rh 0.0000 0.0000 0.6640 [2 per cell]
4 Rh 0.5000 0.0000 0.2131 [2 per cell]
5 Rh 0.5000 0.0000 0.5470 [2 per cell]
6 Se 0.5000 0.0000 0.8795 [2 per cell]

Structure and theoretical powder diffraction line list of PuCr2PN (a PBE-relaxed structure; λ = 1.5418 Å (Cu Kα)).

The 8 most intense peaks (10 to 90 degrees two-theta), sorted by position:
d/Å, I_rel
5.288, 33
3.340, 39
2.946, 47
2.491, 47
2.478, 38
2.432, 100
2.350, 38
1.363, 25

Atomic structure:
Lattice parameters (Å, degrees): 3.5201 10.5769 7.0948 90.00 90.00 90.00
Space group Cmcm (No. 63)
Inequivalent atoms, fractional coordinates:
1 Pu 0.0000 0.0385 0.2500 [4 per cell]
2 Cr 0.0000 0.3258 0.0568 [8 per cell]
3 P 0.0000 0.2398 0.7500 [4 per cell]
4 N 0.0000 0.5000 0.0000 [4 per cell]

Structure and theoretical powder diffraction line list of AlNi3H (a PBE-relaxed structure; λ = 1.5418 Å (Cu Kα)).

The 8 most intense peaks (10 to 90 degrees two-theta), sorted by position:
d/Å, I_rel
2.112, 51
2.094, 51
2.084, 100
1.814, 65
1.810, 31
1.286, 18
1.277, 18
1.091, 21

Atomic structure:
Lattice parameters (Å, degrees): 8.8580 5.0953 4.4675 90.00 108.97 90.00
Space group Cm (No. 8)
Inequivalent atoms, fractional coordinates:
1 Al 0.0000 0.0000 0.0000 [2 per cell]
2 Al 0.2351 0.5000 0.4464 [2 per cell]
3 Ni 0.0004 0.5000 0.9738 [2 per cell]
4 Ni 0.2454 0.0000 0.4579 [2 per cell]
5 Ni 0.2485 0.2549 0.9585 [4 per cell]
6 Ni 0.4916 0.2506 0.4823 [4 per cell]
7 H 0.1291 0.0000 0.6784 [2 per cell]
8 H 0.3713 0.0000 0.2050 [2 per cell]

Structure and theoretical powder diffraction line list of NdHo6Er2 (a PBE-relaxed structure; λ = 1.5418 Å (Cu Kα)).

The 8 most intense peaks (10 to 90 degrees two-theta), sorted by position:
d/Å, I_rel
2.820, 91
2.791, 100
2.175, 12
1.984, 33
1.617, 35
1.611, 19
1.474, 29
1.181, 14

Atomic structure:
Lattice parameters (Å, degrees): 5.5871 28.9722 3.4719 90.00 90.00 90.00
Space group Cmmm (No. 65)
Inequivalent atoms, fractional coordinates:
1 Nd 0.0000 0.0000 0.0000 [2 per cell]
2 Ho 0.0000 0.1130 0.5000 [4 per cell]
3 Ho 0.0000 0.2231 0.5000 [4 per cell]
4 Ho 0.0000 0.4432 0.5000 [4 per cell]
5 Er 0.0000 0.3327 0.0000 [4 per cell]

Structure and theoretical powder diffraction line list of TlRh8 (a PBE-relaxed structure; λ = 1.5418 Å (Cu Kα)).

The 8 most intense peaks (10 to 90 degrees two-theta), sorted by position:
d/Å, I_rel
3.543, 3
2.697, 3
2.263, 100
1.960, 48
1.386, 30
1.182, 23
1.181, 12
1.131, 10

Atomic structure:
Lattice parameters (Å, degrees): 8.3177 8.3177 3.9155 90.00 90.00 90.00
Space group I4/mmm (No. 139)
Inequivalent atoms, fractional coordinates:
1 Tl 0.0000 0.0000 0.0000 [2 per cell]
2 Rh 0.0000 0.3386 0.0000 [8 per cell]
3 Rh 0.1754 0.1754 0.5000 [8 per cell]

Structure and theoretical powder diffraction line list of CsAlTe2O8 (a PBE-relaxed structure; λ = 1.5418 Å (Cu Kα)).

The 8 most intense peaks (10 to 90 degrees two-theta), sorted by position:
d/Å, I_rel
4.084, 100
3.274, 67
3.162, 19
2.612, 36
2.201, 19
2.100, 19
2.014, 20
1.683, 17

Atomic structure:
Lattice parameters (Å, degrees): 5.2249 5.2249 9.4857 90.00 90.00 120.00
Space group P-3 (No. 147)
Inequivalent atoms, fractional coordinates:
1 Cs 0.0000 0.0000 0.0000 [1 per cell]
2 Al 0.0000 0.0000 0.5000 [1 per cell]
3 Te 0.3333 0.6667 0.6779 [2 per cell]
4 O 0.0228 0.3056 0.6195 [6 per cell]
5 O 0.3333 0.6667 0.8698 [2 per cell]

Structure and theoretical powder diffraction line list of Pr4Ho10Tl (a PBE-relaxed structure; λ = 1.5418 Å (Cu Kα)).

The 8 most intense peaks (10 to 90 degrees two-theta), sorted by position:
d/Å, I_rel
3.150, 39
2.929, 43
2.864, 100
2.761, 91
2.701, 23
2.613, 50
2.196, 53
1.397, 32

Atomic structure:
Lattice parameters (Å, degrees): 11.4576 11.4576 7.5439 90.00 90.00 90.00
Space group I4/mmm (No. 139)
Inequivalent atoms, fractional coordinates:
1 Pr 0.2317 0.2317 0.0000 [8 per cell]
2 Ho 0.0000 0.2055 0.2874 [16 per cell]
3 Ho 0.0000 0.5000 0.2500 [4 per cell]
4 Tl 0.0000 0.0000 0.0000 [2 per cell]

Structure and theoretical powder diffraction line list of Er8Tm3Th (a PBE-relaxed structure; λ = 1.5418 Å (Cu Kα)).

The 8 most intense peaks (10 to 90 degrees two-theta), sorted by position:
d/Å, I_rel
2.871, 34
2.863, 100
2.481, 68
1.754, 40
1.499, 10
1.498, 10
1.495, 38
1.109, 11

Atomic structure:
Lattice parameters (Å, degrees): 6.0915 7.0099 9.2769 79.11 77.25 73.30
Space group P-1 (No. 2)
Inequivalent atoms, fractional coordinates:
1 Er 0.9998 0.1648 0.3337 [2 per cell]
2 Er 0.0034 0.3309 0.6664 [2 per cell]
3 Er 0.4983 0.1656 0.8322 [2 per cell]
4 Er 0.4994 0.3319 0.1671 [2 per cell]
5 Tm 0.0000 0.0000 0.0000 [1 per cell]
6 Tm 0.0000 0.5000 0.0000 [1 per cell]
7 Tm 0.5000 0.5000 0.5000 [1 per cell]
8 Th 0.5000 0.0000 0.5000 [1 per cell]

Structure and theoretical powder diffraction line list of CsPr2PaS5 (a PBE-relaxed structure; λ = 1.5418 Å (Cu Kα)).

The 8 most intense peaks (10 to 90 degrees two-theta), sorted by position:
d/Å, I_rel
6.538, 31
3.708, 25
3.597, 100
2.556, 21
2.531, 24
2.516, 20
2.119, 26
1.798, 17

Atomic structure:
Lattice parameters (Å, degrees): 5.1117 7.4150 13.8545 90.00 90.00 90.00
Space group Immm (No. 71)
Inequivalent atoms, fractional coordinates:
1 Cs 0.0000 0.0000 0.0000 [2 per cell]
2 Pr 0.0000 0.5000 0.2051 [4 per cell]
3 Pa 0.0000 0.0000 0.5000 [2 per cell]
4 S 0.0000 0.2322 0.3501 [8 per cell]
5 S 0.0000 0.5000 0.0000 [2 per cell]

Structure and theoretical powder diffraction line list of CeTl2S2Cl2 (a PBE-relaxed structure; λ = 1.5418 Å (Cu Kα)).

The 8 most intense peaks (10 to 90 degrees two-theta), sorted by position:
d/Å, I_rel
8.034, 15
3.794, 100
2.758, 54
2.684, 38
2.191, 24
1.923, 23
1.897, 17
1.697, 17

Atomic structure:
Lattice parameters (Å, degrees): 5.3683 5.3683 16.0681 90.00 90.00 90.00
Space group I4/mmm (No. 139)
Inequivalent atoms, fractional coordinates:
1 Ce 0.0000 0.0000 0.0000 [2 per cell]
2 Tl 0.0000 0.0000 0.3738 [4 per cell]
3 S 0.0000 0.5000 0.0000 [4 per cell]
4 Cl 0.0000 0.0000 0.1670 [4 per cell]